Diffraction record for La5PrSm5. The XRD peak list is theoretical, not measured: it uses DFT lattice parameters and positions (PBE) and λ = 1.5418 Å (Cu Kα).

The 12 most intense peaks (10° ≤ 2θ ≤ 90°), sorted by position:
2theta	d_spacing	I (rel.)
28.0	3.189	1000
28.3	3.156	885
29.3	3.049	315
32.2	2.782	251
33.7	2.663	368
34.6	2.592	337
36.2	2.479	298
36.5	2.460	251
45.3	2.003	231
49.9	1.829	397
54.2	1.691	195
58.5	1.578	298

Structural model:
a = 6.3126 Å, b = 6.3126 Å, c = 11.7784 Å
α = 90.00°, β = 90.00°, γ = 120.00°
Fractional positions:
La  0.0000  0.0000  0.0000
La  0.3333  0.6667  0.3227
La  0.3333  0.6667  0.6773
La  0.6667  0.3333  0.1557
La  0.6667  0.3333  0.8443
Pr  0.3333  0.6667  0.0000
Sm  0.0000  0.0000  0.2657
Sm  0.0000  0.0000  0.7343
Sm  0.3356  0.1678  0.5000
Sm  0.8322  0.1678  0.5000
Sm  0.8322  0.6644  0.5000

***

Diffraction record for La3Pr3Sm5. The XRD peak list is theoretical, not measured: it uses DFT lattice parameters and positions (PBE) and λ = 1.5418 Å (Cu Kα).

The 12 most intense peaks (10° ≤ 2θ ≤ 90°), sorted by position:
2theta	d_spacing	I (rel.)
10.4	8.488	357
15.6	5.681	825
18.1	4.901	365
24.0	3.711	356
26.2	3.400	433
31.5	2.840	652
31.6	2.829	978
32.0	2.794	1000
35.4	2.533	669
41.5	2.175	426
45.2	2.005	728
59.9	1.544	236

Structural model:
a = 9.8013 Å, b = 9.8013 Å, c = 5.6809 Å
α = 90.00°, β = 90.00°, γ = 120.00°
Fractional positions:
La  0.0000  0.4083  0.0000
La  0.4083  0.0000  0.0000
La  0.5917  0.5917  0.0000
Pr  0.0000  0.2711  0.5000
Pr  0.2711  0.0000  0.5000
Pr  0.7289  0.7289  0.5000
Sm  0.0000  0.6346  0.5000
Sm  0.3333  0.6667  0.5000
Sm  0.3654  0.3654  0.5000
Sm  0.6346  0.0000  0.5000
Sm  0.6667  0.3333  0.5000

***

Diffraction record for La12PrSm3. The XRD peak list is theoretical, not measured: it uses DFT lattice parameters and positions (PBE) and λ = 1.5418 Å (Cu Kα).

The 8 most intense peaks (10° ≤ 2θ ≤ 90°), sorted by position:
2theta	d_spacing	I (rel.)
29.5	3.025	1000
34.2	2.620	507
49.2	1.853	364
58.4	1.580	434
61.3	1.513	125
72.1	1.310	58
79.8	1.202	175
82.3	1.172	162

Structural model:
a = 5.2398 Å, b = 5.2398 Å, c = 20.9647 Å
α = 90.00°, β = 90.00°, γ = 90.00°
Fractional positions:
La  0.0000  0.0000  0.0000
La  0.0000  0.0000  0.2494
La  0.0000  0.0000  0.5000
La  0.0000  0.0000  0.7506
La  0.0000  0.5000  0.1247
La  0.0000  0.5000  0.3740
La  0.0000  0.5000  0.6260
La  0.0000  0.5000  0.8753
La  0.5000  0.0000  0.1247
La  0.5000  0.0000  0.3740
La  0.5000  0.0000  0.6260
La  0.5000  0.0000  0.8753
Pr  0.5000  0.5000  0.5000
Sm  0.5000  0.5000  0.0000
Sm  0.5000  0.5000  0.2494
Sm  0.5000  0.5000  0.7506

***

Diffraction record for La5PrSm3. The XRD peak list is theoretical, not measured: it uses DFT lattice parameters and positions (PBE) and λ = 1.5418 Å (Cu Kα).

The 12 most intense peaks (10° ≤ 2θ ≤ 90°), sorted by position:
2theta	d_spacing	I (rel.)
27.8	3.213	728
28.2	3.160	467
29.8	3.002	1000
31.7	2.826	210
35.7	2.518	166
36.7	2.450	191
42.1	2.148	129
44.7	2.027	148
45.1	2.012	140
50.9	1.792	162
53.7	1.706	126
57.3	1.608	124

Structural model:
a = 10.2788 Å, b = 10.2788 Å, c = 10.2788 Å
α = 128.46°, β = 128.46°, γ = 75.87°
Fractional positions:
La  0.0000  0.0000  0.0000
La  0.0598  0.5598  0.8965
La  0.1633  0.0598  0.5000
La  0.3367  0.8367  0.8965
La  0.4402  0.3367  0.5000
La  0.5000  0.5000  0.0000
La  0.5598  0.6633  0.5000
La  0.6633  0.1633  0.1035
La  0.8367  0.9402  0.5000
La  0.9402  0.4402  0.1035
Pr  0.2500  0.7500  0.5000
Pr  0.7500  0.2500  0.5000
Sm  0.1195  0.3805  0.5000
Sm  0.2500  0.2500  0.0000
Sm  0.3805  0.8805  0.2610
Sm  0.6195  0.1195  0.7390
Sm  0.7500  0.7500  0.0000
Sm  0.8805  0.6195  0.5000

***

Diffraction record for La10Pr4Sm. The XRD peak list is theoretical, not measured: it uses DFT lattice parameters and positions (PBE) and λ = 1.5418 Å (Cu Kα).

The 12 most intense peaks (10° ≤ 2θ ≤ 90°), sorted by position:
2theta	d_spacing	I (rel.)
26.7	3.341	815
27.8	3.208	1000
28.0	3.192	847
32.1	2.786	603
32.7	2.736	802
33.1	2.707	322
38.3	2.350	229
39.9	2.257	229
41.1	2.196	273
43.6	2.077	335
53.3	1.719	225
57.8	1.596	217

Structural model:
a = 8.8962 Å, b = 8.8962 Å, c = 8.8962 Å
α = 110.87°, β = 110.87°, γ = 106.70°
Fractional positions:
La  0.0416  0.9573  0.3152
La  0.0427  0.3578  0.0843
La  0.2500  0.7500  0.5000
La  0.2736  0.9584  0.9157
La  0.3578  0.2736  0.3152
La  0.6422  0.7264  0.6848
La  0.7264  0.0416  0.0843
La  0.7500  0.2500  0.5000
La  0.9573  0.6422  0.9157
La  0.9584  0.0427  0.6848
Pr  0.1752  0.4496  0.6248
Pr  0.4496  0.8248  0.2744
Pr  0.5504  0.1752  0.7256
Pr  0.8248  0.5504  0.3752
Sm  0.5000  0.5000  0.0000

***

Diffraction record for La3Pr2Sm8. The XRD peak list is theoretical, not measured: it uses DFT lattice parameters and positions (PBE) and λ = 1.5418 Å (Cu Kα).

The 12 most intense peaks (10° ≤ 2θ ≤ 90°), sorted by position:
2theta	d_spacing	I (rel.)
29.8	3.002	335
29.8	2.997	1000
34.5	2.597	677
49.6	1.837	243
49.7	1.835	242
58.9	1.567	145
59.0	1.565	433
61.8	1.500	84
61.9	1.498	83
80.5	1.193	59
80.7	1.191	117
83.2	1.161	109

Structural model:
a = 6.3559 Å, b = 6.3698 Å, c = 11.6075 Å
α = 89.96°, β = 79.45°, γ = 80.32°
Fractional positions:
La  0.0000  0.0000  0.0000
La  0.2292  0.4617  0.0775
La  0.7708  0.5383  0.9225
Pr  0.3844  0.7686  0.4621
Pr  0.6156  0.2314  0.5379
Sm  0.0768  0.1530  0.6909
Sm  0.1531  0.3073  0.3851
Sm  0.3082  0.6143  0.7674
Sm  0.4620  0.9240  0.1559
Sm  0.5380  0.0760  0.8441
Sm  0.6918  0.3857  0.2326
Sm  0.8469  0.6927  0.6149
Sm  0.9232  0.8470  0.3091